Starting from a structure optimized by DFT (GGA+U), the powder diffraction line list of Ba2LaCoCu2O7 was calculated for Cu Ka.

Structure:
a = 3.9278 Å, b = 3.9644 Å, c = 11.9347 Å
α = 90.00°, β = 90.00°, γ = 90.00°
Positions (direct):
Ba 0.0000 0.0000 0.1804
Ba 0.0000 0.0000 0.8196
La 0.0000 0.0000 0.5000
Co 0.5000 0.5000 0.0000
Cu 0.5000 0.5000 0.3499
Cu 0.5000 0.5000 0.6501
O 0.0000 0.5000 0.3677
O 0.0000 0.5000 0.6323
O 0.5000 0.0000 0.0000
O 0.5000 0.0000 0.3679
O 0.5000 0.0000 0.6321
O 0.5000 0.5000 0.1504
O 0.5000 0.5000 0.8496

Principal peaks in the range 10° ≤ 2θ ≤ 90°, in order of rising 2θ:
index	2theta	d [Å]	intensity
0 1 0	22.39	3.970	11
0 1 3	31.87	2.808	46
1 0 3	32.05	2.793	100
1 1 3	39.45	2.284	16
0 0 6	45.61	1.989	10
0 2 0	45.77	1.982	15
2 0 0	46.23	1.964	14
1 1 6	56.85	1.620	17
1 2 3	56.95	1.617	20
2 1 3	57.24	1.609	17
2 2 0	67.09	1.395	10
2 2 6	84.90	1.142	8